Diffraction record for LiY2Fe4O8. The powder X-ray diffraction pattern is theoretical, not measured: it uses a structure optimized by DFT (GGA+U) and Cu Kα (weighted mean of Kα1 and Kα2).

Cell lengths 6.4264, 6.4708, 6.4890 Å; angles 119.08, 119.63, 90.10 degrees
Space group P1 (No. 1)
Asymmetric unit:
Li 0.0000 0.0000 0.0000 x1
Y 0.2476 0.7416 0.4951 x1
Y 0.5069 0.5199 0.0135 x1
Fe 0.4067 0.1433 0.2783 x1
Fe 0.8642 0.1346 0.7286 x1
Fe 0.8639 0.5931 0.7274 x1
Fe 0.8718 0.1438 0.2784 x1
O 0.0959 0.3842 0.7410 x1
O 0.1023 0.8634 0.2046 x1
O 0.1033 0.8692 0.7633 x1
O 0.1148 0.3341 0.2295 x1
O 0.6402 0.9223 0.2804 x1
O 0.6452 0.3837 0.7408 x1
O 0.6487 0.3915 0.2970 x1
O 0.6600 0.8689 0.7630 x1

Largest 10 diffraction maxima, in order of rising 2θ, 2θ = 10–90°:
| index | d (Å) | I (rel.) |
| --- | --- | --- |
| 1 1 0 | 3.282 | 67.5 |
| 1 1 -2 | 3.242 | 100.0 |
| 2 0 -1 | 3.213 | 32.5 |
| 1 0 1 | 2.803 | 67.2 |
| 0 1 -2 | 2.789 | 32.9 |
| 1 2 -1 | 2.772 | 57.4 |
| 2 1 -1 | 2.754 | 97.8 |
| 1 2 -2 | 2.746 | 92.7 |
| 2 2 0 | 1.641 | 55.5 |
| 2 2 -4 | 1.622 | 55.5 |